For La3SmNi2, a cell relaxed with GGA-PBE gives the calculated powder diffraction line list in this record (Cu Kα (weighted mean of Kα1 and Kα2)).

Peak list (6 most intense, 2θ from 10° to 80°, most intense first)
2θ = 31.4°, I = 100
2θ = 28.1°, I = 68
2θ = 30.1°, I = 56
2θ = 29.4°, I = 46
2θ = 32.5°, I = 44
2θ = 39.6°, I = 43

Structure:
Cell: 16.671 4.062 12.063 Å, 90.00 124.72 90.00°
Space group C2/m (No. 12)
Unique sites:
La (0.085, 0.000, 0.449)
La (0.088, 0.000, 0.943)
La (0.155, 0.500, 0.253)
Sm (0.157, 0.500, 0.752)
Ni (0.232, 0.500, 0.557)
Ni (0.233, 0.500, 0.052)


For LaSm3Ni2, a cell relaxed with GGA-PBE gives the calculated powder diffraction line list in this record (Cu Kα (weighted mean of Kα1 and Kα2)).

Peak list (6 most intense, 2θ from 10° to 80°, most intense first)
2θ = 32.0°, I = 100
2θ = 28.6°, I = 66
2θ = 30.6°, I = 55
2θ = 32.5°, I = 47
2θ = 29.9°, I = 47
2θ = 35.2°, I = 42

Structure:
Cell: 16.660 3.954 11.883 Å, 90.00 124.66 90.00°
Space group C2/m (No. 12)
Unique sites:
La (0.154, 0.000, 0.252)
Sm (0.081, 0.500, 0.445)
Sm (0.085, 0.500, 0.940)
Sm (0.154, 0.000, 0.749)
Ni (0.232, 0.000, 0.048)
Ni (0.232, 0.000, 0.553)


For LaNi5Sn, a cell relaxed with GGA-PBE gives the calculated powder diffraction line list in this record (Cu Kα (weighted mean of Kα1 and Kα2)).

Peak list (6 most intense, 2θ from 10° to 80°, most intense first)
2θ = 36.3°, I = 100
2θ = 34.2°, I = 68
2θ = 40.7°, I = 64
2θ = 45.7°, I = 56
2θ = 42.4°, I = 52
2θ = 46.1°, I = 47

Structure:
Cell: 4.9503 4.9503 19.9076 Å, 90.00 90.00 120.00°
Space group P6_3/mmc (No. 194)
Unique sites:
La (0.0000, 0.0000, 0.0000)
La (0.3333, 0.6667, 0.2500)
Ni (0.0000, 0.0000, 0.2500)
Ni (0.1661, 0.3321, 0.6462)
Ni (0.3333, 0.6667, 0.5444)
Ni (0.3333, 0.6667, 0.7500)
Sn (0.3333, 0.6667, 0.0873)


Copy entry 3 word for word.
For LaNi5Sn, a cell relaxed with GGA-PBE gives the calculated powder diffraction line list in this record (Cu Kα (weighted mean of Kα1 and Kα2)).

Peak list (6 most intense, 2θ from 10° to 80°, most intense first)
2θ = 36.3°, I = 100
2θ = 34.2°, I = 68
2θ = 40.7°, I = 64
2θ = 45.7°, I = 56
2θ = 42.4°, I = 52
2θ = 46.1°, I = 47

Structure:
Cell: 4.9503 4.9503 19.9076 Å, 90.00 90.00 120.00°
Space group P6_3/mmc (No. 194)
Unique sites:
La (0.0000, 0.0000, 0.0000)
La (0.3333, 0.6667, 0.2500)
Ni (0.0000, 0.0000, 0.2500)
Ni (0.1661, 0.3321, 0.6462)
Ni (0.3333, 0.6667, 0.5444)
Ni (0.3333, 0.6667, 0.7500)
Sn (0.3333, 0.6667, 0.0873)